Simulated powder diffraction line list of AlPd4Pt3 for Cu Ka, from the GGA-PBE geometry in Alexandria.
No peak broadening, texture or thermal motion is included.

Largest 8 diffraction maxima, low angle first, 2θ = 10–90°:
2θ = 36.25°, I = 100
2θ = 38.71°, I = 42
2θ = 39.61°, I = 71
2θ = 43.05°, I = 23
2θ = 44.60°, I = 42
2θ = 49.35°, I = 40
2θ = 68.68°, I = 34
2θ = 81.65°, I = 30

Unit cell a=2.838 b=4.063 c=21.887 alpha=90.00 beta=90.00 gamma=90.00
Space group Immm (No. 71)
One atom of each set of equivalent atoms:
1 Al 0.000 0.000 0.000 (multiplicity 2)
2 Pd 0.000 0.500 0.154 (multiplicity 4)
3 Pd 0.000 0.500 0.406 (multiplicity 4)
4 Pt 0.000 0.000 0.500 (multiplicity 2)
5 Pt 0.000 0.500 0.281 (multiplicity 4)